No. 1
Structure and theoretical powder diffractogram of Ce4Si9Rh3 (a DFT-relaxed cell (PBE, Alexandria); Cu Kα, 1.54184 Å).
Lines closer than 0.1° are merged.

Structure:
Unit cell a=4.1855 b=4.2076 c=16.6743 alpha=90.00 beta=90.00 gamma=90.00
Space group Pmm2 (No. 25)
Unique sites:
Ce1 0.0000 0.0000 0.0000 (multiplicity 1)
Ce2 0.0000 0.5000 0.4955 (multiplicity 1)
Ce3 0.5000 0.0000 0.2050 (multiplicity 1)
Ce4 0.5000 0.5000 0.7102 (multiplicity 1)
Si1 0.0000 0.0000 0.3498 (multiplicity 1)
Si2 0.0000 0.0000 0.6306 (multiplicity 1)
Si3 0.0000 0.0000 0.7690 (multiplicity 1)
Si4 0.0000 0.5000 0.1358 (multiplicity 1)
Si5 0.0000 0.5000 0.8499 (multiplicity 1)
Si6 0.5000 0.0000 0.5636 (multiplicity 1)
Si7 0.5000 0.0000 0.8510 (multiplicity 1)
Si8 0.5000 0.5000 0.0601 (multiplicity 1)
Si9 0.5000 0.5000 0.3509 (multiplicity 1)
Rh1 0.0000 0.5000 0.2781 (multiplicity 1)
Rh2 0.5000 0.0000 0.4224 (multiplicity 1)
Rh3 0.5000 0.5000 0.9150 (multiplicity 1)

Principal peaks in the range 15 to 90 degrees two-theta, by intensity:
2θ = 34.3°, 2.616 Å, I 100
2θ = 30.6°, 2.921 Å, I 57
2θ = 30.3°, 2.954 Å, I 25
2θ = 56.3°, 1.634 Å, I 24
2θ = 43.0°, 2.104 Å, I 22
2θ = 43.2°, 2.093 Å, I 22
2θ = 38.9°, 2.315 Å, I 22
2θ = 21.3°, 4.169 Å, I 15
2θ = 62.6°, 1.484 Å, I 14
2θ = 48.8°, 1.866 Å, I 13
2θ = 59.4°, 1.557 Å, I 12
2θ = 54.1°, 1.696 Å, I 12

---

No. 2
Structure and theoretical powder diffractogram of SrPm2UN4 (a DFT-relaxed cell (PBE, Alexandria); Cu Kα, 1.54184 Å).
Lines closer than 0.1° are merged.

Structure:
Unit cell a=7.1614 b=7.2136 c=10.1292 alpha=90.00 beta=90.00 gamma=90.00
Space group Imma (No. 74)
Unique sites:
Sr1 0.2500 0.2500 0.2500 (multiplicity 4)
Pm1 0.0000 0.0000 0.0000 (multiplicity 4)
Pm2 0.2500 0.2500 0.7500 (multiplicity 4)
U1 0.0000 0.0000 0.5000 (multiplicity 4)
N1 0.0000 0.0118 0.7151 (multiplicity 8)
N2 0.2278 0.2500 0.5056 (multiplicity 8)

Principal peaks in the range 15 to 90 degrees two-theta, by intensity:
2θ = 30.4°, 2.938 Å, I 100
2θ = 30.6°, 2.924 Å, I 99
2θ = 35.3°, 2.541 Å, I 96
2θ = 50.9°, 1.794 Å, I 65
2θ = 60.6°, 1.528 Å, I 63
2θ = 35.4°, 2.532 Å, I 46
2θ = 60.3°, 1.535 Å, I 31
2θ = 85.7°, 1.133 Å, I 22
2θ = 83.1°, 1.162 Å, I 20
2θ = 15.1°, 5.857 Å, I 19
2θ = 50.6°, 1.803 Å, I 17
2θ = 63.3°, 1.469 Å, I 17

---

No. 3
Structure and theoretical powder diffractogram of MgTi2NbH (a DFT-relaxed cell (PBE, Alexandria); Cu Kα, 1.54184 Å).
Lines closer than 0.1° are merged.

Structure:
Unit cell a=4.1866 b=4.1866 c=4.1459 alpha=90.00 beta=90.00 gamma=90.00
Space group P4/mmm (No. 123)
Unique sites:
Mg1 0.0000 0.0000 0.0000 (multiplicity 1)
Ti1 0.0000 0.5000 0.5000 (multiplicity 2)
Nb1 0.5000 0.5000 0.0000 (multiplicity 1)
H1 0.0000 0.0000 0.5000 (multiplicity 1)

Principal peaks in the range 15 to 90 degrees two-theta, by intensity:
2θ = 37.3°, 2.409 Å, I 100
2θ = 43.2°, 2.093 Å, I 33
2θ = 75.4°, 1.261 Å, I 23
2θ = 21.2°, 4.187 Å, I 22
2θ = 63.1°, 1.473 Å, I 20
2θ = 30.3°, 2.946 Å, I 20
2θ = 43.7°, 2.073 Å, I 16
2θ = 76.0°, 1.252 Å, I 11
2θ = 62.8°, 1.480 Å, I 10
2θ = 79.6°, 1.205 Å, I 10
2θ = 53.7°, 1.706 Å, I 7
2θ = 48.6°, 1.872 Å, I 5